# ScNbNi
Theoretical powder XRD pattern, Cu Kα (weighted mean of Kα1 and Kα2). Input: a cell relaxed with PBE.
Peak positions follow from Bragg's law for the DFT cell and can differ from measured ones.

Cell and atoms:
```
ScNbNi
1.0
3.931 -3.215 0.000
3.931 3.215 0.000
-3.005 0.000 4.000
Sc Nb Ni
2 2 2
Cartesian
0.036 0.000 1.653 Sc
4.821 0.000 2.347 Sc
2.460 -1.130 0.351 Nb
2.397 -1.130 3.649 Nb
3.931 1.069 0.000 Ni
2.428 1.036 2.000 Ni
```

Largest 10 diffraction maxima, by angle, 2θ from 15° to 90°:
d (Å)	2theta	I/Imax
2.504	35.86	100
2.462	36.49	39
2.417	37.20	50
2.247	40.12	24
2.214	40.75	30
2.155	41.92	35
2.029	44.67	44
1.992	45.53	42
1.973	46.00	36
1.304	72.50	26